Computed X-ray powder pattern of Zn2Fe9O13 for a wavelength of 1.5418 Å, from a DFT-relaxed cell (PBE+U, Alexandria).
Peak positions follow from Bragg's law for the DFT cell and can differ from measured ones.

Cell and atoms:
abc: 5.1681 5.1681 17.2578
angles: 99.02 99.02 33.02
Sites, in units of the cell vectors:
Zn: 0.2069 0.2069 0.2119
Zn: 0.7931 0.7931 0.7881
Fe: 0.0232 0.0232 0.6741
Fe: 0.0693 0.0693 0.8770
Fe: 0.2573 0.2573 0.5820
Fe: 0.3556 0.3556 0.9601
Fe: 0.5000 0.5000 0.5000
Fe: 0.6444 0.6444 0.0399
Fe: 0.7427 0.7427 0.4180
Fe: 0.9307 0.9307 0.1230
Fe: 0.9768 0.9768 0.3259
O: 0.0000 0.0000 0.0000
O: 0.1259 0.1259 0.4701
O: 0.1488 0.1488 0.7687
O: 0.2919 0.2919 0.0693
O: 0.3863 0.3863 0.3905
O: 0.3915 0.3915 0.6832
O: 0.4179 0.4179 0.8535
O: 0.5821 0.5821 0.1465
O: 0.6085 0.6085 0.3168
O: 0.6137 0.6137 0.6095
O: 0.7081 0.7081 0.9307
O: 0.8512 0.8512 0.2313
O: 0.8741 0.8741 0.5299

Largest 10 diffraction maxima, sorted by position, 2θ = 10–80°:
| 2theta | I (rel.) |
| --- | --- |
| 33.8 | 88 |
| 34.0 | 44 |
| 34.5 | 100 |
| 34.9 | 31 |
| 36.3 | 82 |
| 42.3 | 43 |
| 42.7 | 72 |
| 44.0 | 51 |
| 44.5 | 36 |
| 63.3 | 46 |